Simulated powder X-ray diffraction pattern
Compound: LiNiSO4F
Radiation: Cu Kα
Structure: a crystal structure in Alexandria, relaxed with GGA+U
No peak broadening, texture or thermal motion is included.

Structure:
a b c (Å): 5.1886 5.4368 7.2505
angles (deg): 107.33 107.77 97.81
Sites, in units of the cell vectors:
Li  0.2280  0.3673  0.2107
Li  0.7720  0.6327  0.7893
Ni  0.5000  0.0000  0.0000
Ni  0.5000  0.0000  0.5000
S  0.1744  0.3576  0.7510
S  0.8256  0.6424  0.2490
O  0.1064  0.7576  0.4132
O  0.1842  0.6425  0.8590
O  0.2197  0.2205  0.9044
O  0.3966  0.3436  0.6596
O  0.6034  0.6564  0.3404
O  0.7803  0.7795  0.0956
O  0.8158  0.3575  0.1410
O  0.8936  0.2424  0.5868
F  0.3828  0.0876  0.2446
F  0.6172  0.9124  0.7554

Principal peaks in the range 10° ≤ 2θ ≤ 90°, by angle:
2θ 17.6, rel. 32.9
2θ 18.6, rel. 77.1
2θ 22.2, rel. 26.0
2θ 26.0, rel. 27.4
2θ 27.0, rel. 100.0
2θ 27.1, rel. 50.9
2θ 28.8, rel. 91.7
2θ 36.0, rel. 33.5